GdRe2: simulated powder XRD pattern (copper Kα), based on a structure optimized by DFT (PBE).

```
12
Lattice="5.4546 0.0000 0.0000 -2.7273 4.7238 0.0000 0.0000 0.0000 8.8731" Properties=species:S:1:pos:R:3 pbc="T T T"
Gd 0.0000 3.1492 0.5564
Gd 0.0000 3.1492 3.8802
Gd 2.7273 1.5746 4.9930
Gd 2.7273 1.5746 8.3167
Re 0.0000 0.0000 0.0000
Re 0.0000 0.0000 4.4366
Re 0.0000 1.6142 6.6549
Re -1.3293 3.9167 6.6549
Re 1.3979 0.8071 2.2183
Re 1.3293 3.9167 6.6549
Re 4.0566 0.8071 2.2183
Re 2.7273 3.1096 2.2183
```

The 10 most intense peaks (10 to 80 degrees two-theta), low angle first:
- (1 1 0), 2θ 32.8, intensity 22
- (1 0 3), 2θ 35.8, intensity 63
- (1 1 2), 2θ 38.8, intensity 100
- (2 0 1), 2θ 39.5, intensity 93
- (0 0 4), 2θ 40.7, intensity 23
- (2 0 2), 2θ 43.4, intensity 26
- (2 1 3), 2θ 60.6, intensity 24
- (3 0 2), 2θ 62.6, intensity 25
- (2 0 5), 2θ 65.8, intensity 33
- (2 2 0), 2θ 68.9, intensity 30

---

Gd2Re3Si5: simulated powder XRD pattern (copper Kα), based on a structure optimized by DFT (PBE).

```
40
Lattice="10.9869 0.0000 0.0000 0.0000 10.9869 0.0000 0.0000 0.0000 5.5817" Properties=species:S:1:pos:R:3 pbc="T T T"
Gd 0.8508 2.6097 0.0000
Gd 2.6097 10.1360 0.0000
Gd 2.8838 4.6426 2.7908
Gd 4.6426 8.1031 2.7908
Gd 6.3443 2.8838 2.7908
Gd 8.1031 6.3443 2.7908
Gd 8.3772 0.8508 0.0000
Gd 10.1360 8.3772 0.0000
Re 0.0000 5.4934 1.3954
Re 0.0000 5.4934 4.1862
Re 1.3550 9.3732 2.7908
Re 1.6136 1.3550 2.7908
Re 3.8798 6.8484 0.0000
Re 4.1385 3.8798 0.0000
Re 5.4934 0.0000 1.3954
Re 5.4934 0.0000 4.1862
Re 6.8484 7.1070 0.0000
Re 7.1070 4.1385 0.0000
Re 9.3732 9.6319 2.7908
Re 9.6319 1.6136 2.7908
Si 0.0000 0.0000 1.3619
Si 0.0000 0.0000 4.2197
Si 0.2964 3.4598 2.7908
Si 1.8893 7.3827 1.3954
Si 1.8893 7.3827 4.1862
Si 2.0336 5.1970 0.0000
Si 3.4598 10.6905 2.7908
Si 3.6042 1.8893 1.3954
Si 3.6042 1.8893 4.1862
Si 5.1970 8.9532 0.0000
Si 5.4934 5.4934 1.4289
Si 5.4934 5.4934 4.1527
Si 5.7898 2.0336 0.0000
Si 7.3827 9.0976 1.3954
Si 7.3827 9.0976 4.1862
Si 7.5270 0.2964 2.7908
Si 8.9532 5.7898 0.0000
Si 9.0976 3.6042 1.3954
Si 9.0976 3.6042 4.1862
Si 10.6905 7.5270 2.7908
```

The 10 most intense peaks (10 to 80 degrees two-theta), low angle first:
- (3 1 0), 2θ 25.6, intensity 100
- (3 0 1), 2θ 29.2, intensity 32
- (3 1 1), 2θ 30.3, intensity 84
- (1 1 2), 2θ 34.1, intensity 45
- (4 2 0), 2θ 36.6, intensity 54
- (4 1 1), 2θ 37.4, intensity 86
- (2 2 2), 2θ 39.8, intensity 54
- (4 3 1), 2θ 44.3, intensity 32
- (4 0 2), 2θ 46.4, intensity 32
- (3 3 2), 2θ 47.9, intensity 39

---

GdRe4Si2: simulated powder XRD pattern (copper Kα), based on a structure optimized by DFT (PBE).

```
14
Lattice="7.4316 0.0000 0.0000 0.0000 7.4316 0.0000 0.0000 0.0000 4.1445" Properties=species:S:1:pos:R:3 pbc="T T T"
Gd 0.0000 0.0000 0.0000
Gd 3.7158 3.7158 2.0722
Re 0.6921 2.5376 2.0722
Re 1.1782 4.4079 0.0000
Re 2.5376 0.6921 2.0722
Re 3.0237 6.2534 0.0000
Re 4.4079 1.1782 0.0000
Re 4.8940 6.7395 2.0722
Re 6.2534 3.0237 0.0000
Re 6.7395 4.8940 2.0722
Si 1.5669 5.8648 2.0722
Si 2.1489 2.1489 0.0000
Si 5.2827 5.2827 0.0000
Si 5.8648 1.5669 2.0722
```

The 10 most intense peaks (10 to 80 degrees two-theta), low angle first:
- (1 1 0), 2θ 16.9, intensity 31
- (1 1 1), 2θ 27.4, intensity 54
- (2 1 1), 2θ 34.6, intensity 100
- (3 1 0), 2θ 38.3, intensity 65
- (2 2 1), 2θ 40.7, intensity 93
- (0 0 2), 2θ 43.7, intensity 43
- (3 1 1), 2θ 44.3, intensity 52
- (4 1 0), 2θ 50.6, intensity 22
- (3 1 2), 2θ 59.5, intensity 37
- (5 0 1), 2θ 66.9, intensity 33

---

GdRh3: simulated powder XRD pattern (copper Kα), based on a structure optimized by DFT (PBE).

```
24
Lattice="5.2740 0.0000 0.0000 -2.6370 4.5674 0.0000 0.0000 0.0000 17.6195" Properties=species:S:1:pos:R:3 pbc="T T T"
Gd 0.0000 3.0449 0.7388
Gd 0.0000 3.0449 4.4049
Gd 0.0000 3.0449 8.0709
Gd 2.6370 1.5225 9.5486
Gd 2.6370 1.5225 13.2146
Gd 2.6370 1.5225 16.8806
Rh 0.0000 0.0000 0.0000
Rh 0.0000 0.0000 4.4049
Rh 0.0000 0.0000 8.8097
Rh 0.0000 0.0000 13.2146
Rh 0.0000 1.5256 11.0397
Rh 0.0000 1.5256 15.3895
Rh -1.3158 3.8046 11.0397
Rh -1.3158 3.8046 15.3895
Rh 0.0000 3.0449 13.2146
Rh 1.3212 0.7628 2.2300
Rh 1.3212 0.7628 6.5798
Rh 1.3158 3.8046 11.0397
Rh 1.3158 3.8046 15.3895
Rh 2.6370 1.5225 4.4049
Rh 3.9528 0.7628 2.2300
Rh 3.9528 0.7628 6.5798
Rh 2.6370 3.0418 2.2300
Rh 2.6370 3.0418 6.5798
```

The 10 most intense peaks (10 to 80 degrees two-theta), low angle first:
- (1 0 5), 2θ 32.1, intensity 36
- (1 1 0), 2θ 34.0, intensity 26
- (2 0 0), 2θ 39.5, intensity 8
- (1 1 4), 2θ 39.8, intensity 100
- (0 0 8), 2θ 41.0, intensity 25
- (2 0 3), 2θ 42.5, intensity 24
- (2 1 5), 2θ 59.6, intensity 12
- (2 0 9), 2θ 62.5, intensity 13
- (3 0 4), 2θ 64.8, intensity 17
- (2 2 0), 2θ 71.6, intensity 18

---

GdRh: simulated powder XRD pattern (copper Kα), based on a structure optimized by DFT (PBE).

```
2
Lattice="3.4756 0.0000 0.0000 0.0000 3.4756 0.0000 0.0000 0.0000 3.4756" Properties=species:S:1:pos:R:3 pbc="T T T"
Gd 0.0000 0.0000 0.0000
Rh 1.7378 1.7378 1.7378
```

The 7 most intense peaks (10 to 80 degrees two-theta), low angle first:
- (1 0 0), 2θ 25.6, intensity 4
- (1 1 0), 2θ 36.6, intensity 100
- (1 1 1), 2θ 45.2, intensity 1
- (2 0 0), 2θ 52.7, intensity 17
- (2 1 0), 2θ 59.5, intensity 2
- (2 1 1), 2θ 65.8, intensity 35
- (2 2 0), 2θ 77.7, intensity 11

---

GdSi2Rh2: simulated powder XRD pattern (copper Kα), based on a structure optimized by DFT (PBE).

```
10
Lattice="4.0760 0.0000 0.0000 0.0000 4.0760 0.0000 0.0000 0.0000 10.0554" Properties=species:S:1:pos:R:3 pbc="T T T"
Gd 0.0000 0.0000 0.0000
Gd 2.0380 2.0380 5.0277
Si 0.0000 0.0000 3.7967
Si 0.0000 0.0000 6.2587
Si 2.0380 2.0380 1.2310
Si 2.0380 2.0380 8.8244
Rh 0.0000 2.0380 2.5139
Rh 0.0000 2.0380 7.5416
Rh 2.0380 0.0000 2.5139
Rh 2.0380 0.0000 7.5416
```

The 10 most intense peaks (10 to 80 degrees two-theta), low angle first:
- (1 0 1), 2θ 23.6, intensity 27
- (1 0 3), 2θ 34.6, intensity 30
- (0 0 4), 2θ 35.7, intensity 18
- (1 1 2), 2θ 35.9, intensity 100
- (2 0 0), 2θ 44.5, intensity 36
- (2 1 3), 2θ 57.6, intensity 14
- (2 0 4), 2θ 58.3, intensity 17
- (1 1 6), 2θ 64.3, intensity 17
- (2 2 0), 2θ 64.7, intensity 12
- (3 1 2), 2θ 76.3, intensity 22